No. 1
Cs2Ag3Bi8Se15: simulated powder diffraction line list (Cu Kα X-rays), based on a DFT-relaxed cell (GGA-PBE, OQMD).

Largest 10 diffraction maxima, low angle first, 10 to 90 degrees two-theta:
d/Å	Position (°2θ)	I/Imax
8.103	10.9	187
3.400	26.2	167
3.196	27.9	518
3.011	29.7	1000
2.922	30.6	416
2.834	31.6	478
2.108	42.9	238
2.088	43.3	592
2.077	43.6	290
1.321	71.4	186

Structure:
```
data_Cs2Ag3Bi8Se15
_chemical_formula_sum 'Cs4 Ag6 Bi16 Se30'
_cell_length_a 12.529
_cell_length_b 32.414
_cell_length_c 4.180
_cell_angle_alpha 90.00
_cell_angle_beta 90.00
_cell_angle_gamma 90.00
_symmetry_space_group_name_H-M 'P n n m'
_symmetry_Int_Tables_number 58
_symmetry_space_group_name_Hall '-P 2 2n'
loop_
_atom_site_label
_atom_site_type_symbol
_atom_site_fract_x
_atom_site_fract_y
_atom_site_fract_z
Cs1 Cs 0.208 0.225 0.000
Ag1 Ag 0.000 0.500 0.000
Ag2 Ag 0.213 0.966 0.000
Bi1 Bi 0.065 0.062 0.500
Bi2 Bi 0.109 0.841 0.000
Bi3 Bi 0.112 0.378 0.000
Bi4 Bi 0.155 0.587 0.500
Se1 Se 0.000 0.000 0.000
Se2 Se 0.049 0.787 0.500
Se3 Se 0.062 0.444 0.500
Se4 Se 0.109 0.647 0.000
Se5 Se 0.120 0.119 0.000
Se6 Se 0.163 0.911 0.500
Se7 Se 0.169 0.319 0.500
Se8 Se 0.222 0.524 0.000
```

***

No. 2
Cs3SmP2S8: simulated powder diffraction line list (Cu Kα X-rays), based on a DFT-relaxed cell (GGA-PBE, OQMD).

Largest 10 diffraction maxima, low angle first, 10 to 90 degrees two-theta:
d/Å	Position (°2θ)	I/Imax
4.528	19.6	552
4.127	21.5	323
3.858	23.1	1000
3.691	24.1	230
3.488	25.5	522
3.123	28.6	310
2.853	31.4	260
2.786	32.1	586
2.535	35.4	259
2.201	41.0	247

Structure:
```
data_Cs3SmP2S8
_chemical_formula_sum 'Cs12 Sm4 P8 S32'
_cell_length_a 15.534
_cell_length_b 6.976
_cell_length_c 20.103
_cell_angle_alpha 90.00
_cell_angle_beta 129.98
_cell_angle_gamma 90.00
_symmetry_space_group_name_H-M 'P 1 21/c 1'
_symmetry_Int_Tables_number 14
_symmetry_space_group_name_Hall '-P 2ybc'
loop_
_atom_site_label
_atom_site_type_symbol
_atom_site_fract_x
_atom_site_fract_y
_atom_site_fract_z
Cs1 Cs 0.061 0.246 0.109
Cs2 Cs 0.156 0.241 0.378
Cs3 Cs 0.417 0.745 0.525
Sm1 Sm 0.352 0.732 0.729
P1 P 0.192 0.744 0.275
P2 P 0.347 0.226 0.130
S1 S 0.092 0.748 0.142
S2 S 0.115 0.738 0.326
S3 S 0.241 0.507 0.572
S4 S 0.253 0.031 0.596
S5 S 0.292 0.512 0.815
S6 S 0.296 0.511 0.313
S7 S 0.443 0.249 0.593
S8 S 0.458 0.161 0.261
```